No. 1
For TbB2Rh2C, the PBE geometry in the Materials Project gives the calculated PXRD pattern in this record (copper Kα).
Intensities are scaled so that the largest is 100.

Peak list (10 most intense, 10 to 90 degrees two-theta, most intense first)
2θ 37.64, I = 100.0, hkl 1 1 2; 2θ 24.89, I = 37.3, hkl 1 0 1; 2θ 34.76, I = 29.5, hkl 0 0 4; 2θ 47.70, I = 27.6, hkl 2 0 0; 2θ 60.36, I = 23.6, hkl 2 0 4; 2θ 35.13, I = 22.4, hkl 1 0 3; 2θ 64.21, I = 21.7, hkl 1 1 6; 2θ 82.07, I = 20.3, hkl 3 1 2; 2θ 80.35, I = 10.2, hkl 2 2 4; 2θ 54.54, I = 9.7, hkl 2 1 1

Atomic structure:
Cell lengths 3.8132, 3.8132, 10.3239 Å; angles 90.00, 90.00, 90.00 degrees
Space group I4/mmm (No. 139)
One atom of each set of equivalent atoms:
Tb: 0.0000 0.0000 0.0000
B: 0.0000 0.0000 0.3551
Rh: 0.0000 0.5000 0.2500
C: 0.0000 0.0000 0.5000


No. 2
For UB2Rh2C, the PBE geometry in the Materials Project gives the calculated PXRD pattern in this record (copper Kα).
Intensities are scaled so that the largest is 100.

Peak list (10 most intense, 10 to 90 degrees two-theta, most intense first)
2θ 37.81, I = 100.0, hkl 1 1 2; 2θ 25.00, I = 60.0, hkl 1 0 1; 2θ 35.28, I = 32.7, hkl 1 0 3; 2θ 34.89, I = 29.8, hkl 0 0 4; 2θ 47.93, I = 27.5, hkl 2 0 0; 2θ 60.64, I = 24.4, hkl 2 0 4; 2θ 64.50, I = 22.2, hkl 1 1 6; 2θ 82.52, I = 21.6, hkl 3 1 2; 2θ 54.81, I = 15.9, hkl 2 1 1; 2θ 60.89, I = 14.1, hkl 2 1 3

Atomic structure:
Cell lengths 3.7961, 3.7961, 10.2848 Å; angles 90.00, 90.00, 90.00 degrees
Space group I4/mmm (No. 139)
One atom of each set of equivalent atoms:
U: 0.0000 0.0000 0.0000
B: 0.0000 0.0000 0.3534
Rh: 0.0000 0.5000 0.2500
C: 0.0000 0.0000 0.5000


No. 3
For YB2Rh2C, the PBE geometry in the Materials Project gives the calculated PXRD pattern in this record (copper Kα).
Intensities are scaled so that the largest is 100.

Peak list (10 most intense, 10 to 90 degrees two-theta, most intense first)
2θ 37.67, I = 100.0, hkl 1 1 2; 2θ 34.67, I = 29.5, hkl 0 0 4; 2θ 47.79, I = 27.8, hkl 2 0 0; 2θ 17.14, I = 24.6, hkl 0 0 2; 2θ 60.38, I = 22.9, hkl 2 0 4; 2θ 64.13, I = 21.7, hkl 1 1 6; 2θ 82.22, I = 19.6, hkl 3 1 2; 2θ 24.92, I = 14.4, hkl 1 0 1; 2θ 35.11, I = 11.5, hkl 1 0 3; 2θ 80.44, I = 9.8, hkl 2 2 4

Atomic structure:
Cell lengths 3.8066, 3.8066, 10.3480 Å; angles 90.00, 90.00, 90.00 degrees
Space group I4/mmm (No. 139)
One atom of each set of equivalent atoms:
Y: 0.0000 0.0000 0.0000
B: 0.0000 0.0000 0.3554
Rh: 0.0000 0.5000 0.2500
C: 0.0000 0.0000 0.5000


No. 4
For ScB2C, the PBE geometry in the Materials Project gives the calculated PXRD pattern in this record (copper Kα).
Intensities are scaled so that the largest is 100.

Peak list (10 most intense, 10 to 90 degrees two-theta, most intense first)
2θ 40.33, I = 100.0, hkl 2 1 2; 2θ 37.88, I = 86.4, hkl 2 0 2; 2θ 26.83, I = 49.4, hkl 2 0 0; 2θ 30.07, I = 48.2, hkl 2 1 0; 2θ 57.15, I = 38.3, hkl 4 1 0; 2θ 47.03, I = 27.4, hkl 2 2 2; 2θ 82.52, I = 24.1, hkl 4 1 4; 2θ 63.93, I = 20.2, hkl 4 1 2; 2θ 54.00, I = 20.2, hkl 0 0 4; 2θ 58.97, I = 14.5, hkl 3 3 0

Atomic structure:
Cell lengths 6.6456, 6.6456, 6.7922 Å; angles 90.00, 90.00, 90.00 degrees
Space group P4_2/mbc (No. 135)
One atom of each set of equivalent atoms:
Sc: 0.1923 0.3077 0.2500
B: 0.0336 0.8468 0.0000
B: 0.0922 0.5961 0.0000
C: 0.0400 0.8210 0.5000


No. 5
For ScB2C2, the PBE geometry in the Materials Project gives the calculated PXRD pattern in this record (copper Kα).
Intensities are scaled so that the largest is 100.

Peak list (10 most intense, 10 to 90 degrees two-theta, most intense first)
2θ 44.10, I = 100.0, hkl 0 4 1; 2θ 35.71, I = 85.9, hkl 1 2 1; 2θ 24.25, I = 59.1, hkl 1 2 0; 2θ 32.20, I = 40.5, hkl 1 1 1; 2θ 31.28, I = 36.6, hkl 1 3 0; 2θ 40.99, I = 35.8, hkl 1 3 1; 2θ 35.12, I = 29.0, hkl 0 4 0; 2θ 53.07, I = 25.3, hkl 0 0 2; 2θ 18.91, I = 21.8, hkl 1 1 0; 2θ 57.03, I = 21.8, hkl 2 5 0

Atomic structure:
Cell lengths 5.2840, 10.2032, 3.4512 Å; angles 90.00, 90.00, 90.00 degrees
Space group Pbam (No. 55)
One atom of each set of equivalent atoms:
Sc: 0.1372 0.1486 0.0000
B: 0.0138 0.6890 0.5000
B: 0.1440 0.9645 0.5000
C: 0.1074 0.5446 0.5000
C: 0.2037 0.8092 0.5000


No. 6
For Th2ScB6C3, the PBE geometry in the Materials Project gives the calculated PXRD pattern in this record (copper Kα).
Intensities are scaled so that the largest is 100.

Peak list (10 most intense, 10 to 90 degrees two-theta, most intense first)
2θ 36.92, I = 100.0, hkl 1 1 1; 2θ 26.97, I = 86.8, hkl 1 1 0; 2θ 15.48, I = 44.6, hkl 1 0 0; 2θ 54.42, I = 27.7, hkl 3 0 1; 2θ 24.74, I = 27.1, hkl 0 0 1; 2θ 47.65, I = 23.2, hkl 3 0 0; 2θ 58.39, I = 21.7, hkl 1 1 2; 2θ 29.31, I = 21.4, hkl 1 0 1; 2θ 61.77, I = 19.5, hkl 2 2 1; 2θ 81.57, I = 19.2, hkl 4 1 1

Atomic structure:
Cell lengths 6.6107, 6.6107, 3.5987 Å; angles 90.00, 90.00, 120.00 degrees
Space group P6/mmm (No. 191)
One atom of each set of equivalent atoms:
Th: 0.3333 0.6667 0.0000
Sc: 0.0000 0.0000 0.0000
B: 0.0000 0.2716 0.5000
C: 0.0000 0.5000 0.5000


No. 7
For TaBC, the PBE geometry in the Materials Project gives the calculated PXRD pattern in this record (copper Kα).
Intensities are scaled so that the largest is 100.

Peak list (10 most intense, 10 to 90 degrees two-theta, most intense first)
2θ 43.37, I = 100.0, hkl 1 0 2; 2θ 36.20, I = 67.6, hkl 1 0 0; 2θ 23.09, I = 60.3, hkl 0 0 2; 2θ 60.89, I = 31.1, hkl 1 0 4; 2θ 70.07, I = 18.9, hkl 1 1 2; 2θ 81.49, I = 16.1, hkl 2 0 2; 2θ 65.10, I = 16.1, hkl 1 1 0; 2θ 84.23, I = 16.1, hkl 1 1 4; 2θ 85.08, I = 14.6, hkl 1 0 6; 2θ 47.20, I = 14.2, hkl 0 0 4

Atomic structure:
Cell lengths 2.8657, 2.8657, 7.7029 Å; angles 90.00, 90.00, 120.00 degrees
Space group P6_3/mmc (No. 194)
One atom of each set of equivalent atoms:
Ta: 0.0000 0.0000 0.0000
B: 0.3333 0.6667 0.2500
C: 0.3333 0.6667 0.7500


No. 8
For TbB2C2, the PBE geometry in the Materials Project gives the calculated PXRD pattern in this record (copper Kα).
Intensities are scaled so that the largest is 100.

Peak list (10 most intense, 10 to 90 degrees two-theta, most intense first)
2θ 34.36, I = 100.0, hkl 1 1 1; 2θ 23.48, I = 92.4, hkl 1 1 0; 2θ 42.04, I = 56.0, hkl 2 0 1; 2θ 33.45, I = 39.1, hkl 2 0 0; 2θ 54.13, I = 28.6, hkl 3 1 0; 2θ 60.37, I = 27.4, hkl 3 1 1; 2θ 24.72, I = 26.2, hkl 0 0 1; 2θ 54.75, I = 21.7, hkl 2 2 1; 2θ 77.33, I = 19.8, hkl 3 1 2; 2θ 56.60, I = 18.0, hkl 1 1 2

Atomic structure:
Cell lengths 5.3582, 5.3582, 3.6010 Å; angles 90.00, 90.00, 90.00 degrees
Space group P4/mbm (No. 127)
One atom of each set of equivalent atoms:
Tb: 0.0000 0.0000 0.0000
B: 0.1369 0.3631 0.5000
C: 0.1617 0.6617 0.5000


Copy entry 7 word for word.
For TaBC, the PBE geometry in the Materials Project gives the calculated PXRD pattern in this record (copper Kα).
Intensities are scaled so that the largest is 100.

Peak list (10 most intense, 10 to 90 degrees two-theta, most intense first)
2θ 43.37, I = 100.0, hkl 1 0 2; 2θ 36.20, I = 67.6, hkl 1 0 0; 2θ 23.09, I = 60.3, hkl 0 0 2; 2θ 60.89, I = 31.1, hkl 1 0 4; 2θ 70.07, I = 18.9, hkl 1 1 2; 2θ 81.49, I = 16.1, hkl 2 0 2; 2θ 65.10, I = 16.1, hkl 1 1 0; 2θ 84.23, I = 16.1, hkl 1 1 4; 2θ 85.08, I = 14.6, hkl 1 0 6; 2θ 47.20, I = 14.2, hkl 0 0 4

Atomic structure:
Cell lengths 2.8657, 2.8657, 7.7029 Å; angles 90.00, 90.00, 120.00 degrees
Space group P6_3/mmc (No. 194)
One atom of each set of equivalent atoms:
Ta: 0.0000 0.0000 0.0000
B: 0.3333 0.6667 0.2500
C: 0.3333 0.6667 0.7500